This entry pairs a crystal structure of CrBiO3 with its calculated powder diffraction line list. Radiation: Cu Kα. Structure: a crystal structure in Alexandria, relaxed with GGA+U.

Main lines, in order of falling intensity (2θ = 10–80°):
2θ = 31.95°, I 100, (1 1 0); 2θ = 31.80°, I 100, (1 0 4); 2θ = 22.39°, I 87, (0 1 2); 2θ = 56.88°, I 66, (3 0 0); 2θ = 45.70°, I 48, (0 2 4); 2θ = 39.37°, I 34, (2 0 2); 2θ = 51.36°, I 34, (1 1 6); 2θ = 51.57°, I 21, (1 2 2); 2θ = 56.56°, I 18, (0 1 8); 2θ = 75.88°, I 17, (1 3 4); 2θ = 66.79°, I 15, (2 2 0); 2θ = 75.64°, I 15, (1 2 8)

Structure:
a b c (Å): 5.6023 5.6023 13.8168
angles (deg): 90.00 90.00 120.00
Space group R3c (No. 161, hexagonal axes)
Symmetry-distinct sites (fractional):
Cr  0.0000  0.0000  0.0000 (multiplicity 6)
Bi  0.0000  0.0000  0.2776 (multiplicity 6)
O  0.1015  0.3516  0.0717 (multiplicity 18)